Calculated powder diffractogram of LaGaCu11 for Cu Kα X-rays, from DFT lattice parameters and positions (GGA-PBE).
Intensities are scaled so that the largest is 100.

Largest 6 diffraction maxima, in order of rising 2θ, 2θ = 5–70°:
Position (°2θ)  intensity
36.0  25
41.1  26
41.8  100
42.2  38
42.5  28
42.7  44

Crystal structure
Unit cell a=6.4866 b=6.4866 c=6.6464 alpha=97.58 beta=97.58 gamma=135.72
Fractional coordinates of all 13 atoms:
La 0.0000 0.0000 0.0000
Ga 0.5000 0.5000 0.5000
Cu 0.0000 0.0000 0.5000
Cu 0.0000 0.5000 0.0000
Cu 0.0194 0.6581 0.6466
Cu 0.2747 0.5055 0.7716
Cu 0.3419 0.9806 0.3534
Cu 0.4945 0.7253 0.2284
Cu 0.5000 0.0000 0.0000
Cu 0.5055 0.2747 0.7716
Cu 0.6581 0.0194 0.6466
Cu 0.7253 0.4945 0.2284
Cu 0.9806 0.3419 0.3534